Structure and calculated powder diffraction line list of GaPH4NO5 (a structure optimized by DFT (PBE); Cu Kα (λ = 1.5418 Å)).
Intensities are scaled so that the largest is 100.

Largest 10 diffraction maxima, by angle, 2θ = 15–90°:
2θ/deg, I/Imax
17.69, 60
23.57, 100
26.65, 83
27.63, 50
30.60, 61
34.95, 98
35.78, 45
37.45, 49
42.68, 41
52.29, 41

Crystal structure
```
GaPH4NO5
1.0
4.583 0.000 0.000
0.000 6.226 0.000
-1.240 0.000 8.463
Ga P H N O
2 2 8 2 10
Cartesian
0.000 0.000 0.000
0.000 3.113 0.000
0.948 1.556 6.714
2.394 4.669 1.749
-0.156 1.556 4.005
-0.075 3.848 5.575
-0.075 5.490 5.575
0.625 4.669 4.246
2.718 1.556 4.217
3.417 0.736 2.888
3.417 2.377 2.888
3.498 4.669 4.458
-0.162 4.669 4.939
3.504 1.556 3.524
0.650 1.556 1.025
0.138 0.273 7.075
0.138 2.840 7.075
1.093 4.669 0.857
1.290 1.556 5.232
2.052 4.669 3.231
2.249 1.556 7.606
3.205 3.386 1.388
3.205 5.953 1.388
2.692 4.669 7.438
```